This entry pairs a crystal structure of CeGdAs with its simulated X-ray powder pattern. Radiation: Cu Kα X-rays. Structure: a structure optimized by DFT (GGA-PBE).
Peak positions follow from Bragg's law for the DFT cell and can differ from measured ones.

Top 6 peaks for 10° ≤ 2θ ≤ 90°, by angle:
| index | 2θ/deg | Rel. int. |
| --- | --- | --- |
| 1 0 1 | 24.9 | 25.9 |
| 1 1 0 | 33.5 | 65.5 |
| 1 0 3 | 33.8 | 100.0 |
| 1 1 4 | 47.1 | 15.2 |
| 2 0 0 | 48.1 | 23.7 |
| 2 1 3 | 60.1 | 37.9 |

Structural model:
```
data_CeGdAs
_cell_length_a 3.7803
_cell_length_b 3.7803
_cell_length_c 11.1372
_cell_angle_alpha 90.00
_cell_angle_beta 90.00
_cell_angle_gamma 90.00
_symmetry_space_group_name_H-M 'I 4 m m'
_symmetry_Int_Tables_number 107
_symmetry_space_group_name_Hall 'I 4 -2'
loop_
_atom_site_label
_atom_site_type_symbol
_atom_site_fract_x
_atom_site_fract_y
_atom_site_fract_z
Ce1 Ce 0.0000 0.0000 0.0000
Gd1 Gd 0.0000 0.0000 0.7239
As1 As 0.0000 0.0000 0.3534
```

=====

This entry pairs a crystal structure of Ce10Ge3As3 with its simulated X-ray powder pattern. Radiation: Cu Kα X-rays. Structure: a structure optimized by DFT (GGA-PBE).
Peak positions follow from Bragg's law for the DFT cell and can differ from measured ones.

Top 6 peaks for 10° ≤ 2θ ≤ 90°, by angle:
| index | 2θ/deg | Rel. int. |
| --- | --- | --- |
| 2 1 0 | 30.8 | 28.6 |
| 1 0 2 | 31.4 | 20.8 |
| 2 1 1 | 34.2 | 72.4 |
| 3 0 0 | 35.1 | 82.2 |
| 1 1 2 | 35.6 | 100.0 |
| 2 2 2 | 50.8 | 29.3 |

Structural model:
```
data_Ce10Ge3As3
_cell_length_a 8.8633
_cell_length_b 8.8633
_cell_length_c 6.1311
_cell_angle_alpha 90.00
_cell_angle_beta 90.00
_cell_angle_gamma 120.00
_symmetry_space_group_name_H-M 'P -6 2 m'
_symmetry_Int_Tables_number 189
_symmetry_space_group_name_Hall 'P -6 -2'
loop_
_atom_site_label
_atom_site_type_symbol
_atom_site_fract_x
_atom_site_fract_y
_atom_site_fract_z
Ce1 Ce 0.0000 0.2670 0.0000
Ce2 Ce 0.0000 0.7301 0.5000
Ce3 Ce 0.3333 0.6667 0.2448
Ge1 Ge 0.0000 0.3761 0.5000
As1 As 0.0000 0.6240 0.0000
```

=====

This entry pairs a crystal structure of Ce2GeAs4 with its simulated X-ray powder pattern. Radiation: Cu Kα X-rays. Structure: a structure optimized by DFT (GGA-PBE).
Peak positions follow from Bragg's law for the DFT cell and can differ from measured ones.

Top 6 peaks for 10° ≤ 2θ ≤ 90°, by angle:
| index | 2θ/deg | Rel. int. |
| --- | --- | --- |
| 1 0 1 | 23.8 | 19.9 |
| 1 0 2 | 28.1 | 30.1 |
| 1 1 2 | 36.1 | 100.0 |
| 1 0 4 | 41.2 | 23.5 |
| 2 0 0 | 45.4 | 33.2 |
| 3 1 2 | 77.7 | 21.1 |

Structural model:
```
data_Ce2GeAs4
_cell_length_a 3.9966
_cell_length_b 3.9966
_cell_length_c 10.4745
_cell_angle_alpha 90.00
_cell_angle_beta 90.00
_cell_angle_gamma 90.00
_symmetry_space_group_name_H-M 'P -4 m 2'
_symmetry_Int_Tables_number 115
loop_
_symmetry_equiv_pos_as_xyz
'x,y,z'
'y,-x,-z'
'-x,-y,z'
'-y,x,-z'
'-x,y,z'
'-y,-x,-z'
'x,-y,z'
'y,x,-z'
loop_
_atom_site_label
_atom_site_type_symbol
_atom_site_fract_x
_atom_site_fract_y
_atom_site_fract_z
Ce1 Ce 0.0000 0.5000 0.2214
Ge1 Ge 0.0000 0.0000 0.5000
As1 As 0.0000 0.0000 0.0000
As2 As 0.0000 0.5000 0.6792
As3 As 0.5000 0.5000 0.0000
```

=====

This entry pairs a crystal structure of Ce8Ge3As4 with its simulated X-ray powder pattern. Radiation: Cu Kα X-rays. Structure: a structure optimized by DFT (GGA-PBE).
Peak positions follow from Bragg's law for the DFT cell and can differ from measured ones.

Top 6 peaks for 10° ≤ 2θ ≤ 90°, by angle:
| index | 2θ/deg | Rel. int. |
| --- | --- | --- |
| 2 2 0 | 25.9 | 23.5 |
| 0 4 0 | 30.0 | 100.0 |
| 4 0 0 | 42.9 | 37.4 |
| 4 4 -2 | 43.0 | 37.2 |
| 4 4 0 | 53.2 | 13.2 |
| 0 8 2 | 70.7 | 16.7 |

Structural model:
```
data_Ce8Ge3As4
_cell_length_a 11.9054
_cell_length_b 11.9161
_cell_length_c 8.4069
_cell_angle_alpha 90.00
_cell_angle_beta 134.82
_cell_angle_gamma 90.00
_symmetry_space_group_name_H-M 'C 1 2/m 1'
_symmetry_Int_Tables_number 12
loop_
_symmetry_equiv_pos_as_xyz
'x,y,z'
'-x,-y,-z'
'-x,y,-z'
'x,-y,z'
'x+1/2,y+1/2,z'
'-x+1/2,-y+1/2,-z'
'-x+1/2,y+1/2,-z'
'x+1/2,-y+1/2,z'
loop_
_atom_site_label
_atom_site_type_symbol
_atom_site_fract_x
_atom_site_fract_y
_atom_site_fract_z
Ce1 Ce 0.0000 0.2473 0.0000
Ce2 Ce 0.0000 0.2496 0.5000
Ce3 Ce 0.2464 0.0000 0.4931
Ce4 Ce 0.2478 0.0000 0.9994
Ge1 Ge 0.0000 0.5000 0.5000
Ge2 Ge 0.2500 0.2500 0.0000
As1 As 0.0000 0.0000 0.0000
As2 As 0.0000 0.0000 0.5000
As3 As 0.2500 0.2500 0.5000
```

=====

This entry pairs a crystal structure of CeThGeAs with its simulated X-ray powder pattern. Radiation: Cu Kα X-rays. Structure: a structure optimized by DFT (GGA-PBE).
Peak positions follow from Bragg's law for the DFT cell and can differ from measured ones.

Top 6 peaks for 10° ≤ 2θ ≤ 90°, by angle:
| index | 2θ/deg | Rel. int. |
| --- | --- | --- |
| 0 1 2 | 25.6 | 31.2 |
| 1 0 4 | 29.7 | 100.0 |
| 1 1 0 | 42.5 | 75.9 |
| 0 2 4 | 52.7 | 27.1 |
| 2 1 4 | 69.9 | 34.9 |
| 3 0 0 | 77.7 | 26.0 |

Structural model:
```
data_CeThGeAs
_cell_length_a 4.2592
_cell_length_b 4.2592
_cell_length_c 20.8440
_cell_angle_alpha 90.00
_cell_angle_beta 90.00
_cell_angle_gamma 120.00
_symmetry_space_group_name_H-M 'R 3 m'
_symmetry_Int_Tables_number 160
_symmetry_space_group_name_Hall 'R 3 -2"'
loop_
_atom_site_label
_atom_site_type_symbol
_atom_site_fract_x
_atom_site_fract_y
_atom_site_fract_z
Ce1 Ce 0.0000 0.0000 0.0000
Th1 Th 0.0000 0.0000 0.5008
Ge1 Ge 0.0000 0.0000 0.2520
As1 As 0.0000 0.0000 0.7493
```

=====

This entry pairs a crystal structure of CeHf3As4 with its simulated X-ray powder pattern. Radiation: Cu Kα X-rays. Structure: a structure optimized by DFT (GGA-PBE).
Peak positions follow from Bragg's law for the DFT cell and can differ from measured ones.

Top 6 peaks for 10° ≤ 2θ ≤ 90°, by angle:
| index | 2θ/deg | Rel. int. |
| --- | --- | --- |
| 1 0 3 | 28.4 | 38.9 |
| 1 0 5 | 31.6 | 91.6 |
| 1 0 6 | 33.7 | 100.0 |
| 1 1 0 | 46.7 | 84.1 |
| 1 0 11 | 46.9 | 46.0 |
| 1 1 16 | 76.2 | 33.7 |

Structural model:
```
data_CeHf3As4
_cell_length_a 3.8874
_cell_length_b 3.8874
_cell_length_c 26.0769
_cell_angle_alpha 90.00
_cell_angle_beta 90.00
_cell_angle_gamma 120.00
_symmetry_space_group_name_H-M 'P 63/m m c'
_symmetry_Int_Tables_number 194
_symmetry_space_group_name_Hall '-P 6c 2c'
loop_
_atom_site_label
_atom_site_type_symbol
_atom_site_fract_x
_atom_site_fract_y
_atom_site_fract_z
Ce1 Ce 0.3333 0.6667 0.2500
Hf1 Hf 0.0000 0.0000 0.0000
Hf2 Hf 0.3333 0.6667 0.6188
As1 As 0.0000 0.0000 0.1769
As2 As 0.3333 0.6667 0.0589
```

=====

This entry pairs a crystal structure of CeY2HfAs4 with its simulated X-ray powder pattern. Radiation: Cu Kα X-rays. Structure: a structure optimized by DFT (GGA-PBE).
Peak positions follow from Bragg's law for the DFT cell and can differ from measured ones.

Top 6 peaks for 10° ≤ 2θ ≤ 90°, by angle:
| index | 2θ/deg | Rel. int. |
| --- | --- | --- |
| 1 1 1 | 31.1 | 100.0 |
| 0 2 0 | 44.5 | 24.4 |
| 3 1 -1 | 44.6 | 48.6 |
| 2 2 -2 | 55.3 | 25.4 |
| 1 3 1 | 73.7 | 16.0 |
| 3 3 -1 | 82.2 | 16.0 |

Structural model:
```
data_CeY2HfAs4
_cell_length_a 7.0387
_cell_length_b 4.0654
_cell_length_c 7.0392
_cell_angle_alpha 90.00
_cell_angle_beta 109.28
_cell_angle_gamma 90.00
_symmetry_space_group_name_H-M 'P 1 2/m 1'
_symmetry_Int_Tables_number 10
loop_
_symmetry_equiv_pos_as_xyz
'x,y,z'
'-x,-y,-z'
'-x,y,-z'
'x,-y,z'
loop_
_atom_site_label
_atom_site_type_symbol
_atom_site_fract_x
_atom_site_fract_y
_atom_site_fract_z
Ce1 Ce 0.0000 0.0000 0.0000
Y1 Y 0.5000 0.0000 0.5000
Y2 Y 0.5000 0.5000 0.0000
Hf1 Hf 0.0000 0.5000 0.5000
As1 As 0.2377 0.0000 0.7352
As2 As 0.2459 0.5000 0.2605
```

=====

This entry pairs a crystal structure of Ce2HgAs4 with its simulated X-ray powder pattern. Radiation: Cu Kα X-rays. Structure: a structure optimized by DFT (GGA-PBE).
Peak positions follow from Bragg's law for the DFT cell and can differ from measured ones.

Top 6 peaks for 10° ≤ 2θ ≤ 90°, by angle:
| index | 2θ/deg | Rel. int. |
| --- | --- | --- |
| 1 0 1 | 23.7 | 31.3 |
| 1 0 2 | 28.1 | 27.7 |
| 0 0 4 | 35.0 | 17.2 |
| 1 1 2 | 36.0 | 100.0 |
| 2 0 0 | 44.9 | 31.4 |
| 3 1 2 | 76.9 | 22.0 |

Structural model:
```
data_Ce2HgAs4
_cell_length_a 4.0384
_cell_length_b 4.0384
_cell_length_c 10.2652
_cell_angle_alpha 90.00
_cell_angle_beta 90.00
_cell_angle_gamma 90.00
_symmetry_space_group_name_H-M 'P -4 m 2'
_symmetry_Int_Tables_number 115
loop_
_symmetry_equiv_pos_as_xyz
'x,y,z'
'y,-x,-z'
'-x,-y,z'
'-y,x,-z'
'-x,y,z'
'-y,-x,-z'
'x,-y,z'
'y,x,-z'
loop_
_atom_site_label
_atom_site_type_symbol
_atom_site_fract_x
_atom_site_fract_y
_atom_site_fract_z
Ce1 Ce 0.0000 0.5000 0.2263
Hg1 Hg 0.0000 0.0000 0.5000
As1 As 0.0000 0.0000 0.0000
As2 As 0.0000 0.5000 0.6865
As3 As 0.5000 0.5000 0.0000
```

=====

This entry pairs a crystal structure of Ce2HgAs with its simulated X-ray powder pattern. Radiation: Cu Kα X-rays. Structure: a structure optimized by DFT (GGA-PBE).
Peak positions follow from Bragg's law for the DFT cell and can differ from measured ones.

Top 6 peaks for 10° ≤ 2θ ≤ 90°, by angle:
| index | 2θ/deg | Rel. int. |
| --- | --- | --- |
| 1 0 4 | 29.2 | 100.0 |
| 0 1 8 | 39.6 | 39.6 |
| 1 1 0 | 43.7 | 34.6 |
| 0 2 4 | 53.4 | 18.6 |
| 1 1 12 | 65.5 | 15.0 |
| 2 1 4 | 71.4 | 15.6 |

Structural model:
```
data_Ce2HgAs
_cell_length_a 4.1408
_cell_length_b 4.1408
_cell_length_c 23.5521
_cell_angle_alpha 90.00
_cell_angle_beta 90.00
_cell_angle_gamma 120.00
_symmetry_space_group_name_H-M 'R -3 m'
_symmetry_Int_Tables_number 166
_symmetry_space_group_name_Hall '-R 3 2"'
loop_
_atom_site_label
_atom_site_type_symbol
_atom_site_fract_x
_atom_site_fract_y
_atom_site_fract_z
Ce1 Ce 0.0000 0.0000 0.2394
Hg1 Hg 0.0000 0.0000 0.0000
As1 As 0.0000 0.0000 0.5000
```

=====

This entry pairs a crystal structure of Ce2Ho2As5 with its simulated X-ray powder pattern. Radiation: Cu Kα X-rays. Structure: a structure optimized by DFT (GGA-PBE).
Peak positions follow from Bragg's law for the DFT cell and can differ from measured ones.

Top 6 peaks for 10° ≤ 2θ ≤ 90°, by angle:
| index | 2θ/deg | Rel. int. |
| --- | --- | --- |
| 2 2 1 | 28.7 | 53.7 |
| 3 1 2 | 31.8 | 100.0 |
| 4 2 1 | 35.9 | 80.4 |
| 1 1 3 | 37.3 | 68.4 |
| 1 3 1 | 37.4 | 67.3 |
| 5 1 3 | 48.7 | 69.9 |

Structural model:
```
data_Ce2Ho2As5
_cell_length_a 14.5066
_cell_length_b 7.7052
_cell_length_c 7.7366
_cell_angle_alpha 90.00
_cell_angle_beta 90.00
_cell_angle_gamma 90.00
_symmetry_space_group_name_H-M 'C m c e'
_symmetry_Int_Tables_number 64
_symmetry_space_group_name_Hall '-C 2ac 2'
loop_
_atom_site_label
_atom_site_type_symbol
_atom_site_fract_x
_atom_site_fract_y
_atom_site_fract_z
Ce1 Ce 0.1934 0.0000 0.0000
Ho1 Ho 0.0000 0.1568 0.3407
As1 As 0.0000 0.0000 0.0000
As2 As 0.1375 0.1516 0.6493
```

=====

This entry pairs a crystal structure of Ce6HoAs8 with its simulated X-ray powder pattern. Radiation: Cu Kα X-rays. Structure: a structure optimized by DFT (GGA-PBE).
Peak positions follow from Bragg's law for the DFT cell and can differ from measured ones.

Top 6 peaks for 10° ≤ 2θ ≤ 90°, by angle:
| index | 2θ/deg | Rel. int. |
| --- | --- | --- |
| 4 0 0 | 30.2 | 100.0 |
| 4 4 0 | 43.2 | 74.5 |
| 4 4 4 | 53.6 | 26.2 |
| 8 0 0 | 62.8 | 12.2 |
| 8 4 0 | 71.2 | 33.4 |
| 8 4 4 | 79.2 | 24.9 |

Structural model:
```
data_Ce6HoAs8
_cell_length_a 11.8439
_cell_length_b 11.8439
_cell_length_c 11.8439
_cell_angle_alpha 90.00
_cell_angle_beta 90.00
_cell_angle_gamma 90.00
_symmetry_space_group_name_H-M 'F m -3 m'
_symmetry_Int_Tables_number 225
_symmetry_space_group_name_Hall '-F 4 2 3'
loop_
_atom_site_label
_atom_site_type_symbol
_atom_site_fract_x
_atom_site_fract_y
_atom_site_fract_z
Ce1 Ce 0.0000 0.2500 0.2500
Ho1 Ho 0.0000 0.0000 0.0000
As1 As 0.0000 0.0000 0.2466
As2 As 0.2500 0.2500 0.2500
```